Entry 1:
Starting from DFT lattice parameters and positions (GGA-PBE), the X-ray diffraction stick pattern of NaTlHg2 was simulated for Cu Ka.
No peak broadening, texture or thermal motion is included.

Peak list (10 most intense, 10 to 90 degrees two-theta, by intensity)
Position (°2θ)	d_spacing	I_rel
33.36	2.686	1000
59.61	1.551	386
47.89	1.899	184
20.24	4.387	177
79.84	1.201	170
70.06	1.343	120
39.33	2.291	101
23.42	3.799	95
52.50	1.743	45
89.33	1.097	45

Atomic structure:
Cell: 5.372 5.372 5.372 Å, 60.00 60.00 60.00°
Fractional coordinates of all 4 atoms:
Na 0.000 0.000 0.000
Tl 0.500 0.500 0.500
Hg 0.250 0.250 0.250
Hg 0.750 0.750 0.750

---

Entry 2:
Starting from DFT lattice parameters and positions (GGA-PBE), the X-ray diffraction stick pattern of Nb2Hg2O7 was simulated for Cu Ka.
No peak broadening, texture or thermal motion is included.

Peak list (10 most intense, 10 to 90 degrees two-theta, by intensity)
Position (°2θ)	d_spacing	I_rel
29.02	3.077	1000
57.34	1.607	445
48.30	1.884	432
33.63	2.665	373
78.18	1.223	182
80.62	1.192	162
60.15	1.538	121
36.76	2.445	104
14.39	6.154	98
27.76	3.214	71

Atomic structure:
Cell: 7.537 7.537 7.537 Å, 60.00 60.00 60.00°
Fractional coordinates of all 22 atoms:
Nb 0.000 0.000 0.000
Nb 0.000 0.000 0.500
Nb 0.000 0.500 0.000
Nb 0.500 0.000 0.000
Hg 0.000 0.500 0.500
Hg 0.500 0.000 0.500
Hg 0.500 0.500 0.000
Hg 0.500 0.500 0.500
O 0.064 0.064 0.686
O 0.064 0.686 0.064
O 0.064 0.686 0.686
O 0.314 0.314 0.936
O 0.314 0.936 0.314
O 0.314 0.936 0.936
O 0.375 0.375 0.375
O 0.625 0.625 0.625
O 0.686 0.064 0.064
O 0.686 0.064 0.686
O 0.686 0.686 0.064
O 0.936 0.314 0.314
O 0.936 0.314 0.936
O 0.936 0.936 0.314

---

Entry 3:
Starting from DFT lattice parameters and positions (GGA-PBE), the X-ray diffraction stick pattern of NdHg2 was simulated for Cu Ka.
No peak broadening, texture or thermal motion is included.

Peak list (10 most intense, 10 to 90 degrees two-theta, by intensity)
Position (°2θ)	d_spacing	I_rel
35.44	2.533	1000
32.67	2.741	991
64.60	1.443	356
48.97	1.860	323
61.89	1.499	322
44.09	2.054	246
63.63	1.462	186
25.37	3.511	170
86.65	1.124	168
84.23	1.150	140

Atomic structure:
Cell: 5.066 5.066 3.511 Å, 90.00 90.00 120.00°
Fractional coordinates of all 3 atoms:
Nd 0.000 0.000 0.000
Hg 0.333 0.667 0.500
Hg 0.667 0.333 0.500

---

Please write out number 1 again, unchanged.
Starting from DFT lattice parameters and positions (GGA-PBE), the X-ray diffraction stick pattern of NaTlHg2 was simulated for Cu Ka.
No peak broadening, texture or thermal motion is included.

Peak list (10 most intense, 10 to 90 degrees two-theta, by intensity)
Position (°2θ)	d_spacing	I_rel
33.36	2.686	1000
59.61	1.551	386
47.89	1.899	184
20.24	4.387	177
79.84	1.201	170
70.06	1.343	120
39.33	2.291	101
23.42	3.799	95
52.50	1.743	45
89.33	1.097	45

Atomic structure:
Cell: 5.372 5.372 5.372 Å, 60.00 60.00 60.00°
Fractional coordinates of all 4 atoms:
Na 0.000 0.000 0.000
Tl 0.500 0.500 0.500
Hg 0.250 0.250 0.250
Hg 0.750 0.750 0.750